[1]
The following is a computed XRD peak list of K3MoHS4O. It was derived from a cell relaxed with PBE+U, using λ = 1.5418 Å (Cu Kα).
No peak broadening, texture or thermal motion is included.

Largest 12 diffraction maxima, by angle, 2θ = 10–80°:
two_theta  intensity
13.61  27
14.03  40
19.60  51
22.83  29
25.46  35
27.42  26
28.28  100
29.50  20
34.90  23
36.97  23
39.80  29
49.80  19

Cell and atoms:
Cell: 9.727 6.505 8.297 Å, 90.00 90.00 90.00°
Fractional coordinates of all 20 atoms:
K  0.000  0.002  0.000
K  0.228  0.607  0.744
K  0.272  0.393  0.244
K  0.500  0.998  0.500
K  0.728  0.393  0.244
K  0.772  0.607  0.744
Mo  0.000  0.999  0.491
Mo  0.500  0.001  0.991
H  0.000  0.593  0.169
H  0.500  0.407  0.669
S  0.000  0.338  0.522
S  0.000  0.498  0.024
S  0.186  0.905  0.352
S  0.314  0.095  0.852
S  0.500  0.502  0.524
S  0.500  0.662  0.022
S  0.686  0.095  0.852
S  0.814  0.905  0.352
O  0.000  0.872  0.681
O  0.500  0.128  0.181

=====

[2]
The following is a computed XRD peak list of K4Mo2H6S2O9. It was derived from a cell relaxed with PBE+U, using λ = 1.5418 Å (Cu Kα).
No peak broadening, texture or thermal motion is included.

Largest 12 diffraction maxima, by angle, 2θ = 10–80°:
two_theta  intensity
13.79  56
14.08  100
18.97  65
21.57  44
22.25  72
25.47  58
26.21  39
27.67  42
28.41  43
28.90  37
29.16  84
30.44  42

Cell and atoms:
Cell: 6.555 6.555 18.986 Å, 97.43 97.43 80.24°
Fractional coordinates of all 46 atoms:
K  0.134  0.740  0.940
K  0.198  0.217  0.785
K  0.217  0.198  0.285
K  0.260  0.866  0.560
K  0.740  0.134  0.440
K  0.783  0.802  0.715
K  0.802  0.783  0.215
K  0.866  0.260  0.060
Mo  0.307  0.541  0.120
Mo  0.459  0.693  0.380
Mo  0.541  0.307  0.620
Mo  0.693  0.459  0.880
H  0.077  0.454  0.420
H  0.209  0.287  0.466
H  0.287  0.209  0.966
H  0.287  0.706  0.790
H  0.294  0.713  0.710
H  0.454  0.077  0.920
H  0.546  0.923  0.080
H  0.706  0.287  0.290
H  0.713  0.294  0.210
H  0.713  0.791  0.034
H  0.791  0.713  0.534
H  0.923  0.546  0.580
S  0.109  0.756  0.378
S  0.244  0.891  0.122
S  0.756  0.109  0.878
S  0.891  0.244  0.622
O  0.091  0.306  0.428
O  0.139  0.463  0.174
O  0.215  0.785  0.750
O  0.247  0.426  0.031
O  0.306  0.091  0.928
O  0.423  0.541  0.850
O  0.426  0.247  0.531
O  0.459  0.577  0.650
O  0.463  0.139  0.674
O  0.537  0.861  0.326
O  0.541  0.423  0.350
O  0.574  0.753  0.469
O  0.577  0.459  0.150
O  0.694  0.909  0.072
O  0.753  0.574  0.969
O  0.785  0.215  0.250
O  0.861  0.537  0.826
O  0.909  0.694  0.572